1.
Calculated X-ray diffraction stick pattern
Compound: Rb4P21I
Radiation: λ = 1.5418 Å (Cu Kα)
Structure: DFT lattice parameters and positions (GGA-PBE)
Kinematic intensities with the Lorentz-polarization factor, no thermal factor.

Principal peaks in the range 10° ≤ 2θ ≤ 80°, low angle first:
| 2θ (°) | intensity |
| --- | --- |
| 19.49 | 79.5 |
| 21.45 | 39.2 |
| 22.37 | 65.7 |
| 22.48 | 43.2 |
| 27.31 | 63.7 |
| 27.77 | 100.0 |
| 27.94 | 88.8 |
| 28.83 | 88.0 |
| 34.04 | 38.9 |
| 38.92 | 36.1 |

Atomic structure:
abc: 13.0761 13.0761 9.9495
angles: 90.00 90.00 64.58
Fractional positions:
Rb 0.0646 0.7597 0.7500
Rb 0.2403 0.9354 0.7500
Rb 0.3802 0.3802 0.0000
Rb 0.3802 0.3802 0.5000
Rb 0.6198 0.6198 0.0000
Rb 0.6198 0.6198 0.5000
Rb 0.7597 0.0646 0.2500
Rb 0.9354 0.2403 0.2500
P 0.0137 0.6847 0.0770
P 0.0137 0.6847 0.4230
P 0.0496 0.9504 0.2500
P 0.0574 0.4996 0.0850
P 0.0574 0.4996 0.4150
P 0.0572 0.5038 0.7500
P 0.1071 0.2393 0.7500
P 0.1512 0.8488 0.0879
P 0.1512 0.8488 0.4121
P 0.1817 0.6703 0.1359
P 0.1817 0.6703 0.3641
P 0.2005 0.3400 0.7500
P 0.2393 0.1071 0.2500
P 0.3153 0.9863 0.0770
P 0.3153 0.9863 0.4230
P 0.3297 0.8183 0.1359
P 0.3297 0.8183 0.3641
P 0.3400 0.2005 0.2500
P 0.4962 0.9428 0.7500
P 0.4996 0.0574 0.5850
P 0.4996 0.0574 0.9150
P 0.5004 0.9426 0.0850
P 0.5004 0.9426 0.4150
P 0.5038 0.0572 0.2500
P 0.6600 0.7995 0.7500
P 0.6703 0.1817 0.6359
P 0.6703 0.1817 0.8641
P 0.6847 0.0137 0.5770
P 0.6847 0.0137 0.9230
P 0.7607 0.8929 0.7500
P 0.7995 0.6600 0.2500
P 0.8183 0.3297 0.6359
P 0.8183 0.3297 0.8641
P 0.8488 0.1512 0.5879
P 0.8488 0.1512 0.9121
P 0.8929 0.7607 0.2500
P 0.9428 0.4962 0.2500
P 0.9426 0.5004 0.5850
P 0.9426 0.5004 0.9150
P 0.9504 0.0496 0.7500
P 0.9863 0.3153 0.5770
P 0.9863 0.3153 0.9230
I 0.3980 0.6020 0.7500
I 0.6020 0.3980 0.2500

---

2.
Calculated X-ray diffraction stick pattern
Compound: Al3BC3
Radiation: λ = 1.5418 Å (Cu Kα)
Structure: DFT lattice parameters and positions (GGA-PBE)
Kinematic intensities with the Lorentz-polarization factor, no thermal factor.

Principal peaks in the range 10° ≤ 2θ ≤ 80°, low angle first:
| 2θ (°) | intensity |
| --- | --- |
| 11.11 | 35.1 |
| 30.12 | 19.3 |
| 30.65 | 100.0 |
| 33.76 | 20.3 |
| 34.63 | 25.5 |
| 37.81 | 56.1 |
| 45.55 | 24.6 |
| 50.54 | 25.6 |
| 53.50 | 71.0 |
| 72.83 | 34.0 |

Atomic structure:
abc: 5.9335 5.9335 15.9313
angles: 90.00 90.00 120.00
Fractional positions:
Al 0.0000 0.0000 0.1427
Al 0.0000 0.0000 0.6427
Al 0.0000 0.3221 0.0000
Al 0.0000 0.3454 0.2551
Al 0.0000 0.6546 0.7551
Al 0.0000 0.6779 0.5000
Al 0.3221 0.0000 0.0000
Al 0.3221 0.3221 0.5000
Al 0.3333 0.6667 0.1211
Al 0.3333 0.6667 0.6211
Al 0.3454 0.0000 0.2551
Al 0.3454 0.3454 0.7551
Al 0.6546 0.0000 0.7551
Al 0.6546 0.6546 0.2551
Al 0.6667 0.3333 0.1211
Al 0.6667 0.3333 0.6211
Al 0.6779 0.0000 0.5000
Al 0.6779 0.6779 0.0000
B 0.0000 0.0000 0.3693
B 0.0000 0.0000 0.8693
B 0.3333 0.6667 0.3845
B 0.3333 0.6667 0.8845
B 0.6667 0.3333 0.3845
B 0.6667 0.3333 0.8845
C 0.0000 0.0000 0.2791
C 0.0000 0.0000 0.4599
C 0.0000 0.0000 0.7791
C 0.0000 0.0000 0.9599
C 0.0000 0.3330 0.1275
C 0.0000 0.6670 0.6275
C 0.3330 0.0000 0.1275
C 0.3330 0.3330 0.6275
C 0.3333 0.6667 0.2938
C 0.3333 0.6667 0.4748
C 0.3333 0.6667 0.7938
C 0.3333 0.6667 0.9748
C 0.6670 0.0000 0.6275
C 0.6667 0.3333 0.2938
C 0.6667 0.3333 0.4748
C 0.6667 0.3333 0.7938
C 0.6667 0.3333 0.9748
C 0.6670 0.6670 0.1275

---

3.
Calculated X-ray diffraction stick pattern
Compound: UNiSb2
Radiation: λ = 1.5418 Å (Cu Kα)
Structure: DFT lattice parameters and positions (GGA-PBE)
Kinematic intensities with the Lorentz-polarization factor, no thermal factor.

Principal peaks in the range 10° ≤ 2θ ≤ 80°, low angle first:
| 2θ (°) | intensity |
| --- | --- |
| 22.67 | 21.3 |
| 29.42 | 12.3 |
| 30.70 | 15.0 |
| 35.23 | 100.0 |
| 36.09 | 24.1 |
| 41.55 | 43.3 |
| 54.63 | 12.9 |
| 56.19 | 13.9 |
| 60.22 | 14.4 |
| 71.73 | 25.4 |

Atomic structure:
abc: 4.3467 4.3467 9.1073
angles: 90.00 90.00 90.00
Fractional positions:
U 0.2500 0.2500 0.2314
U 0.7500 0.7500 0.7686
Ni 0.2500 0.7500 0.0000
Ni 0.7500 0.2500 0.0000
Sb 0.2500 0.2500 0.8413
Sb 0.2500 0.7500 0.5000
Sb 0.7500 0.2500 0.5000
Sb 0.7500 0.7500 0.1587

---

4.
Calculated X-ray diffraction stick pattern
Compound: Eu2Si5Pt3
Radiation: λ = 1.5418 Å (Cu Kα)
Structure: DFT lattice parameters and positions (GGA-PBE)
Kinematic intensities with the Lorentz-polarization factor, no thermal factor.

Principal peaks in the range 10° ≤ 2θ ≤ 80°, low angle first:
| 2θ (°) | intensity |
| --- | --- |
| 24.00 | 24.0 |
| 24.24 | 43.6 |
| 27.34 | 22.4 |
| 31.60 | 38.0 |
| 33.84 | 100.0 |
| 34.32 | 34.2 |
| 35.14 | 31.1 |
| 42.67 | 65.4 |
| 54.96 | 25.2 |
| 56.10 | 21.6 |

Atomic structure:
abc: 8.3686 8.3686 8.3686
angles: 105.07 90.27 137.34
Fractional positions:
Eu 0.1294 0.2334 0.3627
Eu 0.3706 0.7334 0.1040
Eu 0.6294 0.2666 0.8960
Eu 0.8706 0.7666 0.6373
Si 0.0201 0.7500 0.2701
Si 0.1117 0.6491 0.7608
Si 0.2500 0.2500 0.0000
Si 0.3883 0.1491 0.5374
Si 0.4799 0.7500 0.7299
Si 0.5201 0.2500 0.2701
Si 0.6117 0.8509 0.4626
Si 0.7500 0.7500 0.0000
Si 0.8883 0.3509 0.2392
Si 0.9799 0.2500 0.7299
Pt 0.1357 0.8877 0.0233
Pt 0.2500 0.7500 0.5000
Pt 0.3643 0.3877 0.7520
Pt 0.6357 0.6123 0.2480
Pt 0.7500 0.2500 0.5000
Pt 0.8643 0.1123 0.9767

---

5.
Calculated X-ray diffraction stick pattern
Compound: NaEu2Cl6
Radiation: λ = 1.5418 Å (Cu Kα)
Structure: DFT lattice parameters and positions (GGA-PBE)
Kinematic intensities with the Lorentz-polarization factor, no thermal factor.

Principal peaks in the range 10° ≤ 2θ ≤ 80°, low angle first:
| 2θ (°) | intensity |
| --- | --- |
| 13.60 | 74.9 |
| 23.68 | 59.2 |
| 24.24 | 77.8 |
| 31.16 | 23.2 |
| 34.14 | 100.0 |
| 40.58 | 21.0 |
| 41.63 | 40.3 |
| 41.97 | 80.6 |
| 59.53 | 23.1 |
| 66.00 | 28.8 |

Atomic structure:
abc: 13.0176 13.0176 4.4468
angles: 90.00 90.00 120.00
Fractional positions:
Na 0.0000 0.0000 0.0000
Na 0.3333 0.6667 0.5015
Na 0.6667 0.3333 0.2535
Eu 0.0003 0.6668 0.2515
Eu 0.3332 0.3335 0.2515
Eu 0.3355 0.0019 0.7515
Eu 0.6664 0.6645 0.7515
Eu 0.6665 0.9997 0.2515
Eu 0.9981 0.3336 0.7515
Cl 0.0733 0.8398 0.7503
Cl 0.1055 0.5967 0.7556
Cl 0.1602 0.2334 0.7503
Cl 0.1763 0.4366 0.2503
Cl 0.2312 0.0743 0.2545
Cl 0.2603 0.8237 0.2503
Cl 0.4033 0.5088 0.7556
Cl 0.4444 0.2640 0.7475
Cl 0.4912 0.8945 0.7556
Cl 0.5045 0.0974 0.2490
Cl 0.5634 0.7397 0.2503
Cl 0.5929 0.4955 0.2490
Cl 0.7360 0.1803 0.7475
Cl 0.7666 0.9267 0.7503
Cl 0.8197 0.5556 0.7475
Cl 0.8430 0.7688 0.2545
Cl 0.9026 0.4071 0.2490
Cl 0.9257 0.1570 0.2545